Theoretical XRD peak list
Compound: La4In2Br5
Radiation: a wavelength of 1.5418 Å
Structure: a crystal structure in Alexandria, relaxed with PBE
Lines closer than 0.1° are merged.

a b c (Å): 25.8351 4.1694 9.0086
angles (deg): 90.00 104.13 90.00
Space group C2/m (No. 12)
One atom of each set of equivalent atoms:
La (0.0136, 0.0000, 0.2682) [4 per cell]
La (0.1652, 0.5000, 0.4652) [4 per cell]
In (0.0580, 0.5000, 0.5645) [4 per cell]
Br (0.0000, 0.5000, 0.0000) [2 per cell]
Br (0.1291, 0.0000, 0.2193) [4 per cell]
Br (0.2318, 0.0000, 0.6742) [4 per cell]

Principal peaks in the range 2θ from 10° to 90°, in order of rising 2θ:
2θ 10.13, intensity 100; 2θ 10.84, intensity 26; 2θ 26.99, intensity 43; 2θ 27.82, intensity 23; 2θ 29.22, intensity 21; 2θ 30.44, intensity 63; 2θ 30.80, intensity 21; 2θ 31.95, intensity 21; 2θ 37.09, intensity 19; 2θ 38.90, intensity 25; 2θ 42.37, intensity 22; 2θ 43.40, intensity 20